Entry 1:
The following is a calculated PXRD pattern of TbHoIn. It was derived from the PBE geometry in Alexandria, using copper Kα.

Largest 8 diffraction maxima, sorted by position, 10 to 90 degrees two-theta:
2θ (°)	I/Imax	index
32.07	1000	1 1 0
32.51	935	0 1 3
36.26	697	1 0 3
39.77	278	0 2 0
51.62	131	2 0 0
54.90	420	1 2 3
62.34	285	2 1 3
63.13	249	1 1 6

Crystal structure
Cell: 3.541 4.533 10.404 Å, 90.00 90.00 90.00°
Space group Imm2 (No. 44)
One atom of each set of equivalent atoms:
Tb (0.000, 0.000, 0.000)
Ho (0.000, 0.000, 0.312)
In (0.000, 0.000, 0.658)

---

Entry 2:
The following is a calculated PXRD pattern of Tb6Ho3In. It was derived from the PBE geometry in Alexandria, using copper Kα.

Largest 8 diffraction maxima, sorted by position, 10 to 90 degrees two-theta:
2θ (°)	I/Imax	index
28.47	305	0 3 1
28.60	151	2 2 1
29.75	1000	1 3 1
30.96	646	3 0 1
31.89	738	3 1 1
34.79	923	0 0 2
36.02	325	1 4 1
50.04	236	2 4 2

Crystal structure
Cell: 10.457 11.842 5.159 Å, 90.00 90.00 90.00°
Space group Pnnm (No. 58)
One atom of each set of equivalent atoms:
Tb (0.075, 0.248, 0.000)
Tb (0.174, 0.074, 0.500)
Tb (0.224, 0.378, 0.500)
Ho (0.000, 0.500, 0.000)
Ho (0.117, 0.696, 0.500)
In (0.000, 0.000, 0.000)

---

Entry 3:
The following is a calculated PXRD pattern of TbHo5In. It was derived from the PBE geometry in Alexandria, using copper Kα.

Largest 8 diffraction maxima, sorted by position, 10 to 90 degrees two-theta:
2θ (°)	I/Imax	index
15.45	582	0 2 0
18.28	384	1 0 1
24.02	528	1 2 1
27.90	518	2 1 1
31.18	662	0 4 0
32.24	623	1 1 2
39.32	379	1 3 2
40.35	1000	3 2 1

Crystal structure
Cell: 7.927 11.473 6.138 Å, 90.00 90.00 90.00°
Space group Imm2 (No. 44)
One atom of each set of equivalent atoms:
Tb (0.000, 0.000, 0.000)
Ho (0.000, 0.253, 0.598)
Ho (0.000, 0.500, 0.290)
Ho (0.185, 0.000, 0.501)
In (0.000, 0.500, 0.765)

---

Entry 4:
The following is a calculated PXRD pattern of Tb5Ho2In3. It was derived from the PBE geometry in Alexandria, using copper Kα.

Largest 8 diffraction maxima, sorted by position, 10 to 90 degrees two-theta:
2θ (°)	I/Imax	index
27.54	364	3 3 0
29.67	1000	0 2 2
30.65	673	4 2 0
35.47	633	0 6 0
36.18	425	0 4 2
37.01	281	4 4 0
39.61	560	4 0 2
54.19	287	4 6 2

Crystal structure
Cell: 12.637 15.196 6.560 Å, 90.00 90.00 90.00°
Space group Ibam (No. 72)
One atom of each set of equivalent atoms:
Tb (0.000, 0.000, 0.250)
Tb (0.075, 0.339, 0.000)
Tb (0.241, 0.500, 0.250)
Ho (0.150, 0.200, 0.500)
In (0.000, 0.500, 0.250)
In (0.137, 0.148, 0.000)

---

Entry 5:
The following is a calculated PXRD pattern of TbHo2In3Te6. It was derived from the PBE geometry in Alexandria, using copper Kα.

Largest 8 diffraction maxima, sorted by position, 10 to 90 degrees two-theta:
2θ (°)	I/Imax	index
10.90	88	0 0 1
27.59	1000	1 3 1
37.81	390	2 0 2
40.96	356	0 6 0
50.09	191	4 0 0
62.20	151	3 3 3
66.63	161	4 6 0
72.51	113	5 3 1

Crystal structure
Cell: 7.634 13.221 8.505 Å, 90.00 107.42 90.00°
Space group C2/m (No. 12)
One atom of each set of equivalent atoms:
Tb (0.000, 0.000, 0.000)
Ho (0.000, 0.333, 0.000)
In (0.000, 0.166, 0.500)
In (0.000, 0.500, 0.500)
Te (0.237, 0.500, 0.218)
Te (0.241, 0.168, 0.219)

---

Entry 6:
The following is a calculated PXRD pattern of TbHo5TmIn2. It was derived from the PBE geometry in Alexandria, using copper Kα.

Largest 8 diffraction maxima, sorted by position, 10 to 90 degrees two-theta:
2θ (°)	I/Imax	index
29.74	332	2 1 3
29.90	1000	2 0 4
33.40	304	2 2 0
35.13	231	2 1 5
37.07	255	0 0 8
50.75	188	2 2 8
57.56	133	4 2 4
62.44	124	2 0 12

Crystal structure
Cell: 7.587 7.587 19.401 Å, 90.00 90.00 90.00°
Space group I4/mcm (No. 140)
One atom of each set of equivalent atoms:
Tb (0.000, 0.000, 0.250)
Ho (0.000, 0.000, 0.000)
Ho (0.201, 0.299, 0.124)
Tm (0.000, 0.500, 0.250)
In (0.124, 0.376, 0.500)

---

Entry 7:
The following is a calculated PXRD pattern of Ho12In3Tc. It was derived from the PBE geometry in Alexandria, using copper Kα.

Largest 8 diffraction maxima, sorted by position, 10 to 90 degrees two-theta:
2θ (°)	I/Imax	index
32.49	1000	1 1 4
37.55	354	2 0 0
37.98	143	0 0 8
54.16	123	2 2 0
54.48	202	2 0 8
64.59	276	3 1 4
65.17	94	1 1 12
68.05	103	2 2 8

Crystal structure
Cell: 4.790 4.790 18.953 Å, 90.00 90.00 90.00°
Space group P4/mmm (No. 123)
One atom of each set of equivalent atoms:
Ho (0.000, 0.000, 0.000)
Ho (0.000, 0.000, 0.243)
Ho (0.000, 0.000, 0.500)
Ho (0.000, 0.500, 0.110)
Ho (0.000, 0.500, 0.371)
In (0.500, 0.500, 0.246)
In (0.500, 0.500, 0.500)
Tc (0.500, 0.500, 0.000)

---

Entry 8:
The following is a calculated PXRD pattern of Ho8In2Tc. It was derived from the PBE geometry in Alexandria, using copper Kα.

Largest 8 diffraction maxima, sorted by position, 10 to 90 degrees two-theta:
2θ (°)	I/Imax	index
32.57	812	5 1 0
32.68	789	0 2 0
33.89	250	6 0 0
34.70	1000	1 1 2
35.21	768	5 1 -2
52.66	264	4 0 -4
59.63	207	1 3 2
63.37	303	4 2 -4

Crystal structure
Cell: 17.220 5.481 6.951 Å, 90.00 112.69 90.00°
Space group C2/m (No. 12)
One atom of each set of equivalent atoms:
Ho (0.007, 0.000, 0.266)
Ho (0.113, 0.500, 0.898)
Ho (0.137, 0.500, 0.398)
Ho (0.192, 0.000, 0.727)
In (0.185, 0.000, 0.188)
Tc (0.000, 0.500, 0.500)